For ErInSb2, a PBE-relaxed structure gives the simulated XRD peak list in this record (Cu Kα (λ = 1.5418 Å)).

Structure:
Unit cell a=5.0885 b=5.0885 c=4.0609 alpha=90.00 beta=90.00 gamma=90.00
Element x y z (fractional)
Er (0.0000, 0.0000, 0.0000)
In (0.5000, 0.5000, 0.0000)
Sb (0.0000, 0.5000, 0.5000)
Sb (0.5000, 0.0000, 0.5000)

Main lines, most intense first (15 to 90 degrees two-theta):
Position (°2θ), d (Å), I_rel
33.27, 2.693, 1000
35.28, 2.544, 427
62.04, 1.496, 324
58.13, 1.587, 198
50.75, 1.799, 150
69.85, 1.347, 114
44.63, 2.030, 110
74.96, 1.267, 93
84.17, 1.150, 70
85.30, 1.138, 68